Structure and calculated PXRD pattern of TbFeMo (a structure optimized by DFT (GGA-PBE); Cu Kα, 1.54184 Å).
Kinematic intensities with the Lorentz-polarization factor, no thermal factor.

Structure:
```
data_TbFeMo
_chemical_formula_sum 'Tb18 Fe18 Mo18'
_cell_length_a 5.3113
_cell_length_b 5.3113
_cell_length_c 40.1966
_cell_angle_alpha 90.00
_cell_angle_beta 90.00
_cell_angle_gamma 120.00
_symmetry_space_group_name_H-M 'R -3 m'
_symmetry_Int_Tables_number 166
_symmetry_space_group_name_Hall '-R 3 2"'
loop_
_atom_site_label
_atom_site_fract_x
_atom_site_fract_y
_atom_site_fract_z
Tb1 0.0000 0.0000 0.0384
Tb2 0.0000 0.0000 0.1808
Tb3 0.0000 0.0000 0.2685
Fe1 0.0000 0.0000 0.3831
Fe2 0.0000 0.0000 0.5000
Fe3 0.0000 0.5000 0.0000
Mo1 0.0026 0.5013 0.7755
```

Largest 12 diffraction maxima, in order of falling intensity, 10 to 90 degrees two-theta:
d_spacing  intensity
2.283  100
2.566  51
2.656  43
2.242  35
2.436  29
1.515  27
1.328  24
2.211  24
1.450  21
1.431  17
1.488  16
2.861  13